# 1
Structure and theoretical X-ray powder pattern of Na4SnGePt2 (DFT lattice parameters and positions (PBE); CuKα).

Peak list (6 most intense, 10 to 90 degrees two-theta, most intense first)
d_spacing  I (rel.)  (hkl)
3.883  100  1 0 1
2.385  96  1 1 2
2.365  48  2 0 0
2.020  35  2 1 1
1.369  33  3 1 2
2.044  18  1 0 3

Cell and atoms:
abc: 4.731 4.731 6.801
angles: 90.00 90.00 90.00
Space group P-4m2 (No. 115)
Unique sites:
Na1 0.000 0.000 0.000 x1
Na2 0.000 0.500 0.733 x2
Na3 0.500 0.500 0.500 x1
Sn1 0.500 0.500 0.000 x1
Ge1 0.000 0.000 0.500 x1
Pt1 0.000 0.500 0.260 x2

---

# 2
Structure and theoretical X-ray powder pattern of Tc2GeO4 (DFT lattice parameters and positions (PBE); CuKα).

Peak list (6 most intense, 10 to 90 degrees two-theta, most intense first)
d_spacing  I (rel.)  (hkl)
2.674  100  3 1 1
1.568  44  4 4 0
1.707  38  5 1 1
5.120  24  1 1 1
2.560  24  2 2 2
2.217  22  4 0 0

Cell and atoms:
abc: 8.869 8.869 8.869
angles: 90.00 90.00 90.00
Space group Fd-3m (No. 227, origin choice 2)
Unique sites:
Tc1 0.000 0.000 0.000 x16
Ge1 0.125 0.125 0.625 x8
O1 0.012 0.012 0.238 x32

---

# 3
Structure and theoretical X-ray powder pattern of DyEr2Sn3Pd3 (DFT lattice parameters and positions (PBE); CuKα).

Peak list (6 most intense, 10 to 90 degrees two-theta, most intense first)
d_spacing  I (rel.)  (hkl)
2.712  100  1 0 2
2.509  74  1 2 2
2.499  41  0 5 1
2.204  40  0 3 3
1.927  22  2 0 0
1.451  21  2 3 3

Cell and atoms:
abc: 3.854 13.237 7.626
angles: 90.00 90.00 90.00
Space group Amm2 (No. 38)
Unique sites:
Dy1 0.000 0.000 0.000 x2
Er1 0.000 0.201 0.397 x4
Sn1 0.500 0.000 0.334 x2
Sn2 0.500 0.132 0.730 x4
Pd1 0.000 0.000 0.597 x2
Pd2 0.500 0.168 0.099 x4